# UAl4Co
Theoretical powder XRD pattern, Cu Kα, 1.54184 Å. Input: a DFT-relaxed cell (GGA-PBE, the Materials Project).

Top 10 peaks for 10 to 90 degrees two-theta, sorted by position:
d_spacing, 2theta, I_rel
4.552, 19.50, 84.9
4.095, 21.70, 75.2
3.942, 22.56, 53.1
3.044, 29.34, 86.8
2.840, 31.50, 65.3
2.409, 37.32, 100.0
2.212, 40.80, 65.9
2.187, 41.29, 90.4
1.929, 47.12, 57.8
1.495, 62.10, 55.9

Atomic structure:
```
data_UAl4Co
_chemical_formula_sum 'U3 Al12 Co3'
_symmetry_space_group_name_H-M 'P 1'
_symmetry_Int_Tables_number 1
_cell_length_a 9.104
_cell_length_b 9.104
_cell_length_c 4.095
_cell_angle_alpha 90.00
_cell_angle_beta 90.00
_cell_angle_gamma 120.00
loop_
_symmetry_equiv_pos_as_xyz
'x,y,z'
loop_
_atom_site_label
_atom_site_fract_x
_atom_site_fract_y
_atom_site_fract_z
U1 0.000 0.409 0.000
U2 0.409 0.000 0.000
U3 0.591 0.591 0.000
Al1 0.000 0.169 0.500
Al2 0.000 0.742 0.000
Al3 0.169 0.000 0.500
Al4 0.183 0.703 0.500
Al5 0.258 0.258 0.000
Al6 0.297 0.480 0.500
Al7 0.480 0.297 0.500
Al8 0.520 0.817 0.500
Al9 0.703 0.183 0.500
Al10 0.742 0.000 0.000
Al11 0.817 0.520 0.500
Al12 0.831 0.831 0.500
Co1 0.000 0.000 0.000
Co2 0.333 0.667 0.000
Co3 0.667 0.333 0.000
```